For YMg6SnO8, a crystal structure in Alexandria, relaxed with PBE gives the simulated PXRD pattern in this record (Cu Kα (λ = 1.5418 Å)).
Neutral-atom scattering factors, no anomalous dispersion.

Largest 10 diffraction maxima, most intense first, 2θ from 10° to 90°:
39.4°, d = 2.288 Å, intensity 100; 33.9°, d = 2.648 Å, intensity 65; 56.7°, d = 1.623 Å, intensity 55; 29.2°, d = 3.053 Å, intensity 52; 39.1°, d = 2.302 Å, intensity 45; 19.3°, d = 4.604 Å, intensity 36; 56.9°, d = 1.618 Å, intensity 31; 27.6°, d = 3.237 Å, intensity 29; 71.2°, d = 1.324 Å, intensity 26; 29.1°, d = 3.069 Å, intensity 25

Atomic structure:
```
data_YMg6SnO8
_cell_length_a 4.5770
_cell_length_b 4.5770
_cell_length_c 9.2075
_cell_angle_alpha 90.00
_cell_angle_beta 90.00
_cell_angle_gamma 90.00
_symmetry_space_group_name_H-M 'P 4/m m m'
_symmetry_Int_Tables_number 123
_symmetry_space_group_name_Hall '-P 4 2'
loop_
_atom_site_label
_atom_site_type_symbol
_atom_site_fract_x
_atom_site_fract_y
_atom_site_fract_z
Y1 Y 0.0000 0.0000 0.0000
Mg1 Mg 0.0000 0.0000 0.5000
Mg2 Mg 0.0000 0.5000 0.2770
Mg3 Mg 0.5000 0.5000 0.5000
Sn1 Sn 0.5000 0.5000 0.0000
O1 O 0.0000 0.0000 0.2574
O2 O 0.0000 0.5000 0.0000
O3 O 0.0000 0.5000 0.5000
O4 O 0.5000 0.5000 0.2792
```



For Mg6ZnSnO8, a crystal structure in Alexandria, relaxed with PBE gives the simulated PXRD pattern in this record (Cu Kα (λ = 1.5418 Å)).
Neutral-atom scattering factors, no anomalous dispersion.

Largest 10 diffraction maxima, most intense first, 2θ from 10° to 90°:
40.7°, d = 2.218 Å, intensity 100; 58.9°, d = 1.568 Å, intensity 60; 35.0°, d = 2.561 Å, intensity 42; 30.2°, d = 2.956 Å, intensity 39; 20.0°, d = 4.431 Å, intensity 23; 28.4°, d = 3.138 Å, intensity 20; 42.0°, d = 2.151 Å, intensity 19; 74.0°, d = 1.280 Å, intensity 19; 70.4°, d = 1.338 Å, intensity 14; 45.7°, d = 1.984 Å, intensity 11

Atomic structure:
```
data_Mg6ZnSnO8
_cell_length_a 4.4383
_cell_length_b 4.4383
_cell_length_c 8.8575
_cell_angle_alpha 90.00
_cell_angle_beta 90.00
_cell_angle_gamma 90.00
_symmetry_space_group_name_H-M 'P 4/m m m'
_symmetry_Int_Tables_number 123
_symmetry_space_group_name_Hall '-P 4 2'
loop_
_atom_site_label
_atom_site_type_symbol
_atom_site_fract_x
_atom_site_fract_y
_atom_site_fract_z
Mg1 Mg 0.0000 0.0000 0.0000
Mg2 Mg 0.0000 0.5000 0.2377
Mg3 Mg 0.5000 0.5000 0.0000
Zn1 Zn 0.0000 0.0000 0.5000
Sn1 Sn 0.5000 0.5000 0.5000
O1 O 0.0000 0.0000 0.2417
O2 O 0.0000 0.5000 0.0000
O3 O 0.0000 0.5000 0.5000
O4 O 0.5000 0.5000 0.2277
```



For Mg6ZnSnO8, a crystal structure in Alexandria, relaxed with PBE gives the simulated PXRD pattern in this record (Cu Kα (λ = 1.5418 Å)).
Neutral-atom scattering factors, no anomalous dispersion.

Largest 10 diffraction maxima, most intense first, 2θ from 10° to 90°:
40.4°, d = 2.233 Å, intensity 100; 35.0°, d = 2.564 Å, intensity 61; 59.0°, d = 1.566 Å, intensity 57; 19.9°, d = 4.466 Å, intensity 53; 41.1°, d = 2.198 Å, intensity 46; 28.5°, d = 3.133 Å, intensity 46; 58.5°, d = 1.579 Å, intensity 30; 73.9°, d = 1.282 Å, intensity 27; 20.2°, d = 4.395 Å, intensity 26; 28.3°, d = 3.158 Å, intensity 23

Atomic structure:
```
data_Mg6ZnSnO8
_cell_length_a 4.4656
_cell_length_b 4.4656
_cell_length_c 8.7906
_cell_angle_alpha 90.00
_cell_angle_beta 90.00
_cell_angle_gamma 90.00
_symmetry_space_group_name_H-M 'P 4/m m m'
_symmetry_Int_Tables_number 123
_symmetry_space_group_name_Hall '-P 4 2'
loop_
_atom_site_label
_atom_site_type_symbol
_atom_site_fract_x
_atom_site_fract_y
_atom_site_fract_z
Mg1 Mg 0.0000 0.0000 0.0000
Mg2 Mg 0.0000 0.0000 0.5000
Mg3 Mg 0.0000 0.5000 0.2374
Zn1 Zn 0.5000 0.5000 0.0000
Sn1 Sn 0.5000 0.5000 0.5000
O1 O 0.0000 0.0000 0.2482
O2 O 0.0000 0.5000 0.0000
O3 O 0.0000 0.5000 0.5000
O4 O 0.5000 0.5000 0.2293
```



For SrYMg6O8, a crystal structure in Alexandria, relaxed with PBE gives the simulated PXRD pattern in this record (Cu Kα (λ = 1.5418 Å)).
Neutral-atom scattering factors, no anomalous dispersion.

Largest 10 diffraction maxima, most intense first, 2θ from 10° to 90°:
39.0°, d = 2.308 Å, intensity 100; 33.9°, d = 2.643 Å, intensity 53; 57.1°, d = 1.612 Å, intensity 52; 40.0°, d = 2.253 Å, intensity 41; 29.1°, d = 3.069 Å, intensity 38; 56.4°, d = 1.632 Å, intensity 31; 71.4°, d = 1.322 Å, intensity 25; 19.7°, d = 4.506 Å, intensity 24; 27.3°, d = 3.264 Å, intensity 20; 29.7°, d = 3.004 Å, intensity 19

Atomic structure:
```
data_SrYMg6O8
_cell_length_a 4.6157
_cell_length_b 4.6157
_cell_length_c 9.0130
_cell_angle_alpha 90.00
_cell_angle_beta 90.00
_cell_angle_gamma 90.00
_symmetry_space_group_name_H-M 'P 4/m m m'
_symmetry_Int_Tables_number 123
_symmetry_space_group_name_Hall '-P 4 2'
loop_
_atom_site_label
_atom_site_type_symbol
_atom_site_fract_x
_atom_site_fract_y
_atom_site_fract_z
Sr1 Sr 0.0000 0.0000 0.0000
Y1 Y 0.5000 0.5000 0.0000
Mg1 Mg 0.0000 0.0000 0.5000
Mg2 Mg 0.0000 0.5000 0.2742
Mg3 Mg 0.5000 0.5000 0.5000
O1 O 0.0000 0.0000 0.2753
O2 O 0.0000 0.5000 0.0000
O3 O 0.0000 0.5000 0.5000
O4 O 0.5000 0.5000 0.2615
```



For Mg2Ta4O9, a crystal structure in Alexandria, relaxed with PBE gives the simulated PXRD pattern in this record (Cu Kα (λ = 1.5418 Å)).
Neutral-atom scattering factors, no anomalous dispersion.

Largest 10 diffraction maxima, most intense first, 2θ from 10° to 90°:
34.2°, d = 2.623 Å, intensity 100; 31.9°, d = 2.806 Å, intensity 83; 19.5°, d = 4.543 Å, intensity 76; 51.9°, d = 1.762 Å, intensity 75; 23.2°, d = 3.832 Å, intensity 58; 61.2°, d = 1.514 Å, intensity 31; 47.5°, d = 1.916 Å, intensity 30; 59.8°, d = 1.547 Å, intensity 29; 42.9°, d = 2.107 Å, intensity 19; 84.3°, d = 1.148 Å, intensity 18

Atomic structure:
```
data_Mg2Ta4O9
_cell_length_a 5.2452
_cell_length_b 5.2452
_cell_length_c 14.2713
_cell_angle_alpha 90.00
_cell_angle_beta 90.00
_cell_angle_gamma 120.00
_symmetry_space_group_name_H-M 'P -3 c 1'
_symmetry_Int_Tables_number 165
_symmetry_space_group_name_Hall '-P 3 2"c'
loop_
_atom_site_label
_atom_site_type_symbol
_atom_site_fract_x
_atom_site_fract_y
_atom_site_fract_z
Mg1 Mg 0.0000 0.0000 0.1526
Ta1 Ta 0.3333 0.6667 0.0088
Ta2 Ta 0.3333 0.6667 0.3208
O1 O 0.0000 0.3148 0.2500
O2 O 0.0125 0.3429 0.9109
```



For MgTc2O, a crystal structure in Alexandria, relaxed with PBE gives the simulated PXRD pattern in this record (Cu Kα (λ = 1.5418 Å)).
Neutral-atom scattering factors, no anomalous dispersion.

Largest 10 diffraction maxima, most intense first, 2θ from 10° to 90°:
35.0°, d = 2.566 Å, intensity 100; 46.6°, d = 1.947 Å, intensity 58; 24.6°, d = 3.619 Å, intensity 56; 50.4°, d = 1.812 Å, intensity 54; 35.1°, d = 2.559 Å, intensity 37; 39.4°, d = 2.289 Å, intensity 28; 43.2°, d = 2.093 Å, intensity 27; 24.5°, d = 3.640 Å, intensity 25; 68.5°, d = 1.369 Å, intensity 21; 65.8°, d = 1.420 Å, intensity 21

Atomic structure:
```
data_MgTc2O
_cell_length_a 7.2383
_cell_length_b 7.2383
_cell_length_c 4.2110
_cell_angle_alpha 90.00
_cell_angle_beta 90.00
_cell_angle_gamma 90.00
_symmetry_space_group_name_H-M 'I -4 2 d'
_symmetry_Int_Tables_number 122
_symmetry_space_group_name_Hall 'I -4 2bw'
loop_
_atom_site_label
_atom_site_type_symbol
_atom_site_fract_x
_atom_site_fract_y
_atom_site_fract_z
Mg1 Mg 0.0000 0.0000 0.0000
Tc1 Tc 0.1614 0.2500 0.6250
O1 O 0.0000 0.0000 0.5000
```



For Mg4Tc2O9, a crystal structure in Alexandria, relaxed with PBE gives the simulated PXRD pattern in this record (Cu Kα (λ = 1.5418 Å)).
Neutral-atom scattering factors, no anomalous dispersion.

Largest 10 diffraction maxima, most intense first, 2θ from 10° to 90°:
19.9°, d = 4.472 Å, intensity 100; 32.3°, d = 2.772 Å, intensity 87; 34.7°, d = 2.582 Å, intensity 50; 52.6°, d = 1.740 Å, intensity 45; 48.2°, d = 1.889 Å, intensity 34; 60.7°, d = 1.525 Å, intensity 32; 23.5°, d = 3.779 Å, intensity 30; 62.3°, d = 1.491 Å, intensity 27; 43.4°, d = 2.084 Å, intensity 25; 39.8°, d = 2.264 Å, intensity 18

Atomic structure:
```
data_Mg4Tc2O9
_cell_length_a 5.1636
_cell_length_b 5.1636
_cell_length_c 14.1322
_cell_angle_alpha 90.00
_cell_angle_beta 90.00
_cell_angle_gamma 120.00
_symmetry_space_group_name_H-M 'P -3 c 1'
_symmetry_Int_Tables_number 165
_symmetry_space_group_name_Hall '-P 3 2"c'
loop_
_atom_site_label
_atom_site_type_symbol
_atom_site_fract_x
_atom_site_fract_y
_atom_site_fract_z
Mg1 Mg 0.3333 0.6667 0.1872
Mg2 Mg 0.3333 0.6667 0.4811
Tc1 Tc 0.0000 0.0000 0.1468
O1 O 0.0000 0.2897 0.2500
O2 O 0.0292 0.3425 0.5844
```



For MgTl2TcO6, a crystal structure in Alexandria, relaxed with PBE gives the simulated PXRD pattern in this record (Cu Kα (λ = 1.5418 Å)).
Neutral-atom scattering factors, no anomalous dispersion.

Largest 10 diffraction maxima, most intense first, 2θ from 10° to 90°:
32.7°, d = 2.742 Å, intensity 100; 16.4°, d = 5.407 Å, intensity 99; 28.1°, d = 3.181 Å, intensity 91; 44.0°, d = 2.060 Å, intensity 50; 23.0°, d = 3.859 Å, intensity 29; 52.6°, d = 1.739 Å, intensity 27; 61.0°, d = 1.519 Å, intensity 20; 60.7°, d = 1.526 Å, intensity 19; 49.6°, d = 1.836 Å, intensity 18; 58.0°, d = 1.590 Å, intensity 16

Atomic structure:
```
data_MgTl2TcO6
_cell_length_a 6.3616
_cell_length_b 6.3616
_cell_length_c 5.4072
_cell_angle_alpha 90.00
_cell_angle_beta 90.00
_cell_angle_gamma 120.00
_symmetry_space_group_name_H-M 'P -3 m 1'
_symmetry_Int_Tables_number 164
_symmetry_space_group_name_Hall '-P 3 2"'
loop_
_atom_site_label
_atom_site_type_symbol
_atom_site_fract_x
_atom_site_fract_y
_atom_site_fract_z
Mg1 Mg 0.0000 0.0000 0.0000
Tl1 Tl 0.3333 0.6667 0.4549
Tc1 Tc 0.0000 0.0000 0.5000
O1 O 0.1369 0.2739 0.2829
```



For MgTeO4, a crystal structure in Alexandria, relaxed with PBE gives the simulated PXRD pattern in this record (Cu Kα (λ = 1.5418 Å)).
Neutral-atom scattering factors, no anomalous dispersion.

Largest 10 diffraction maxima, most intense first, 2θ from 10° to 90°:
29.5°, d = 3.030 Å, intensity 100; 18.7°, d = 4.747 Å, intensity 100; 23.5°, d = 3.792 Å, intensity 92; 30.8°, d = 2.899 Å, intensity 87; 24.4°, d = 3.641 Å, intensity 72; 41.6°, d = 2.171 Å, intensity 45; 36.2°, d = 2.479 Å, intensity 36; 15.6°, d = 5.674 Å, intensity 36; 39.1°, d = 2.305 Å, intensity 32; 54.3°, d = 1.690 Å, intensity 30

Atomic structure:
```
data_MgTeO4
_cell_length_a 4.7563
_cell_length_b 5.6738
_cell_length_c 5.1064
_cell_angle_alpha 90.00
_cell_angle_beta 93.49
_cell_angle_gamma 90.00
_symmetry_space_group_name_H-M 'P 1 2/c 1'
_symmetry_Int_Tables_number 13
loop_
_symmetry_equiv_pos_as_xyz
'x,y,z'
'-x,-y,-z'
'-x,y,-z+1/2'
'x,-y,z+1/2'
loop_
_atom_site_label
_atom_site_type_symbol
_atom_site_fract_x
_atom_site_fract_y
_atom_site_fract_z
Mg1 Mg 0.0000 0.1537 0.2500
Te1 Te 0.5000 0.3340 0.7500
O1 O 0.2392 0.1224 0.5950
O2 O 0.2812 0.3953 0.0651
```